[1]
Computed PXRD pattern of SmRu2 for λ = 1.5418 Å (Cu Kα), from a crystal structure in the Materials Project, relaxed with GGA-PBE.
Peak positions follow from Bragg's law for the DFT cell and can differ from measured ones.

Structural model:
a = 5.306 Å, b = 5.306 Å, c = 9.121 Å
α = 90.00°, β = 90.00°, γ = 120.00°
Atoms (fractional coordinates):
Sm1 0.333 0.667 0.068
Sm2 0.333 0.667 0.432
Sm3 0.667 0.333 0.568
Sm4 0.667 0.333 0.932
Ru1 0.000 0.000 0.000
Ru2 0.000 0.000 0.500
Ru3 0.171 0.342 0.750
Ru4 0.171 0.829 0.750
Ru5 0.342 0.171 0.250
Ru6 0.658 0.829 0.750
Ru7 0.829 0.171 0.250
Ru8 0.829 0.658 0.250

Peak list (6 most intense, 10° ≤ 2θ ≤ 90°, sorted by position)
2θ 33.8, I 37.3; 2θ 35.4, I 86.0; 2θ 39.3, I 100.0; 2θ 40.5, I 70.3; 2θ 61.5, I 31.0; 2θ 65.3, I 28.6

---

[2]
Computed PXRD pattern of SmRu2 for λ = 1.5418 Å (Cu Kα), from a crystal structure in the Materials Project, relaxed with GGA-PBE.
Peak positions follow from Bragg's law for the DFT cell and can differ from measured ones.

Structural model:
a = 5.398 Å, b = 5.398 Å, c = 5.398 Å
α = 60.00°, β = 60.00°, γ = 60.00°
Atoms (fractional coordinates):
Sm1 0.125 0.125 0.125
Sm2 0.875 0.875 0.875
Ru1 0.000 0.500 0.500
Ru2 0.500 0.000 0.500
Ru3 0.500 0.500 0.000
Ru4 0.500 0.500 0.500

Peak list (6 most intense, 10° ≤ 2θ ≤ 90°, sorted by position)
2θ 33.2, I 40.2; 2θ 39.1, I 100.0; 2θ 41.0, I 28.5; 2θ 59.3, I 15.3; 2θ 63.3, I 32.0; 2θ 69.7, I 25.9

---

[3]
Computed PXRD pattern of Sn3Ru for λ = 1.5418 Å (Cu Kα), from a crystal structure in the Materials Project, relaxed with GGA-PBE.
Peak positions follow from Bragg's law for the DFT cell and can differ from measured ones.

Structural model:
a = 6.984 Å, b = 6.984 Å, c = 4.442 Å
α = 90.00°, β = 90.00°, γ = 120.00°
Atoms (fractional coordinates):
Sn1 0.184 0.368 0.250
Sn2 0.184 0.816 0.250
Sn3 0.368 0.184 0.750
Sn4 0.632 0.816 0.250
Sn5 0.816 0.184 0.750
Sn6 0.816 0.632 0.750
Ru1 0.333 0.667 0.750
Ru2 0.667 0.333 0.250

Peak list (6 most intense, 10° ≤ 2θ ≤ 90°, sorted by position)
2θ 29.5, I 28.2; 2θ 35.9, I 100.0; 2θ 40.6, I 17.1; 2θ 52.4, I 19.8; 2θ 65.2, I 14.9; 2θ 68.3, I 18.3

---

[4]
Computed PXRD pattern of TbSnRu2 for λ = 1.5418 Å (Cu Kα), from a crystal structure in the Materials Project, relaxed with GGA-PBE.
Peak positions follow from Bragg's law for the DFT cell and can differ from measured ones.

Structural model:
a = 4.691 Å, b = 4.691 Å, c = 4.691 Å
α = 60.00°, β = 60.00°, γ = 60.00°
Atoms (fractional coordinates):
Tb1 0.000 0.000 0.000
Sn1 0.500 0.500 0.500
Ru1 0.250 0.250 0.250
Ru2 0.750 0.750 0.750

Peak list (6 most intense, 10° ≤ 2θ ≤ 90°, sorted by position)
2θ 23.2, I 1.4; 2θ 26.9, I 2.7; 2θ 38.4, I 100.0; 2θ 55.4, I 17.2; 2θ 69.4, I 35.0; 2θ 82.2, I 11.2

---

[5]
Computed PXRD pattern of ThSnRu2 for λ = 1.5418 Å (Cu Kα), from a crystal structure in the Materials Project, relaxed with GGA-PBE.
Peak positions follow from Bragg's law for the DFT cell and can differ from measured ones.

Structural model:
a = 4.813 Å, b = 4.813 Å, c = 4.813 Å
α = 60.00°, β = 60.00°, γ = 60.00°
Atoms (fractional coordinates):
Th1 0.000 0.000 0.000
Sn1 0.500 0.500 0.500
Ru1 0.250 0.250 0.250
Ru2 0.750 0.750 0.750

Peak list (6 most intense, 10° ≤ 2θ ≤ 90°, sorted by position)
2θ 22.6, I 7.9; 2θ 26.2, I 7.4; 2θ 37.4, I 100.0; 2θ 53.9, I 17.6; 2θ 67.4, I 36.0; 2θ 79.7, I 11.4

---

[6]
Computed PXRD pattern of TaRu3 for λ = 1.5418 Å (Cu Kα), from a crystal structure in the Materials Project, relaxed with GGA-PBE.
Peak positions follow from Bragg's law for the DFT cell and can differ from measured ones.

Structural model:
a = 2.783 Å, b = 2.783 Å, c = 8.994 Å
α = 90.00°, β = 90.00°, γ = 120.00°
Atoms (fractional coordinates):
Ta1 0.000 0.000 0.000
Ru1 0.000 0.000 0.500
Ru2 0.667 0.333 0.265
Ru3 0.667 0.333 0.735

Peak list (6 most intense, 10° ≤ 2θ ≤ 90°, sorted by position)
2θ 37.3, I 26.1; 2θ 40.1, I 24.9; 2θ 42.6, I 100.0; 2θ 67.3, I 17.0; 2θ 74.5, I 16.8; 2θ 81.3, I 18.8